Structure and computed XRD peak list of KZnH4Br3O2 (a DFT-relaxed cell (GGA-PBE, the Materials Project); CuKα).
Intensities are scaled so that the largest is 100.

Crystal structure
```
KZnH4Br3O2
1.0
6.813 0.000 0.000
0.000 12.681 0.000
-5.055 0.000 10.050
K Zn H Br O
4 4 16 12 8
Direct
0.221 0.169 0.492
0.221 0.331 0.992
0.779 0.669 0.008
0.779 0.831 0.508
0.500 0.072 0.240
0.500 0.428 0.740
0.500 0.572 0.260
0.500 0.928 0.760
0.001 0.638 0.715
0.001 0.862 0.215
0.160 0.638 0.650
0.160 0.862 0.150
0.282 0.738 0.297
0.282 0.762 0.797
0.393 0.671 0.434
0.393 0.829 0.934
0.607 0.171 0.066
0.607 0.329 0.566
0.718 0.238 0.203
0.718 0.262 0.703
0.840 0.138 0.850
0.840 0.362 0.350
0.999 0.138 0.785
0.999 0.362 0.285
0.118 0.106 0.170
0.118 0.394 0.670
0.274 0.601 0.026
0.274 0.899 0.526
0.428 0.100 0.825
0.428 0.400 0.325
0.572 0.600 0.675
0.572 0.900 0.175
0.726 0.101 0.474
0.726 0.399 0.974
0.882 0.606 0.330
0.882 0.894 0.830
0.087 0.685 0.686
0.087 0.815 0.186
0.414 0.694 0.356
0.414 0.806 0.856
0.586 0.194 0.144
0.586 0.306 0.644
0.913 0.185 0.814
0.913 0.315 0.314
```

Main lines, sorted by position (10 to 90 degrees two-theta):
Position (°2θ)  I_rel
14.6  16.5
17.1  15.7
24.6  15.1
27.2  52.5
27.5  100.0
28.1  26.0
34.1  24.2
41.0  22.0
42.8  18.4
43.0  13.5
49.9  18.9
50.0  16.7



Structure and computed XRD peak list of KZnH6Br3 (a DFT-relaxed cell (GGA-PBE, the Materials Project); CuKα).
Intensities are scaled so that the largest is 100.

Crystal structure
```
KZnH6Br3
1.0
6.925 0.000 0.000
0.000 13.750 0.000
-3.856 0.000 10.623
K Zn H Br
4 4 24 12
Direct
0.206 0.173 0.494
0.206 0.327 0.994
0.794 0.673 0.006
0.794 0.827 0.506
0.482 0.051 0.272
0.482 0.449 0.772
0.518 0.551 0.228
0.518 0.949 0.728
0.021 0.162 0.774
0.021 0.338 0.274
0.075 0.651 0.667
0.075 0.849 0.167
0.149 0.642 0.622
0.149 0.858 0.122
0.331 0.728 0.282
0.331 0.772 0.782
0.362 0.703 0.346
0.362 0.797 0.846
0.460 0.652 0.488
0.460 0.848 0.988
0.540 0.152 0.012
0.540 0.348 0.512
0.638 0.203 0.154
0.638 0.297 0.654
0.669 0.228 0.218
0.669 0.272 0.718
0.851 0.142 0.878
0.851 0.358 0.378
0.925 0.151 0.833
0.925 0.349 0.333
0.979 0.662 0.726
0.979 0.838 0.226
0.168 0.133 0.186
0.168 0.367 0.686
0.296 0.597 0.023
0.296 0.903 0.523
0.407 0.090 0.803
0.407 0.410 0.303
0.593 0.590 0.697
0.593 0.910 0.197
0.704 0.097 0.477
0.704 0.403 0.977
0.832 0.633 0.314
0.832 0.867 0.814
```

Main lines, sorted by position (10 to 90 degrees two-theta):
Position (°2θ)  I_rel
10.5  35.2
12.9  32.5
13.6  52.2
15.1  30.1
17.6  36.1
18.8  98.9
22.4  42.7
25.9  36.0
26.0  52.2
26.3  100.0
26.6  45.3
31.9  29.9



Structure and computed XRD peak list of LiH2BrO (a DFT-relaxed cell (GGA-PBE, the Materials Project); CuKα).
Intensities are scaled so that the largest is 100.

Crystal structure
```
LiH2BrO
1.0
4.064 -4.101 0.000
4.064 4.101 0.000
0.000 0.000 8.046
Li H Br O
4 8 4 4
Direct
0.000 0.000 0.000
0.000 0.000 0.500
0.317 0.683 0.750
0.683 0.317 0.250
0.210 0.601 0.059
0.210 0.601 0.441
0.399 0.790 0.059
0.399 0.790 0.441
0.601 0.210 0.559
0.601 0.210 0.941
0.790 0.399 0.559
0.790 0.399 0.941
0.220 0.277 0.250
0.277 0.220 0.750
0.723 0.780 0.250
0.780 0.723 0.750
0.255 0.745 0.000
0.255 0.745 0.500
0.745 0.255 0.000
0.745 0.255 0.500
```

Main lines, sorted by position (10 to 90 degrees two-theta):
Position (°2θ)  I_rel
21.7  41.1
21.9  41.0
22.1  45.8
31.0  90.5
31.1  84.5
31.3  100.0
38.4  46.5
45.1  18.7
50.6  19.5
55.1  23.7
55.4  27.8
55.7  30.1



> Which formula does entry 2 have?

KZnH6Br3